(1)
For PmTeS4, a DFT-relaxed cell (GGA-PBE, Alexandria) gives the theoretical X-ray diffraction stick pattern in this record (Cu Kα (λ = 1.5418 Å)).

Main lines, sorted by position (10° ≤ 2θ ≤ 90°):
| d/Å | two_theta | I (rel.) |
| --- | --- | --- |
| 4.017 | 22.1 | 100 |
| 3.680 | 24.2 | 68 |
| 2.450 | 36.7 | 43 |
| 2.301 | 39.1 | 34 |
| 2.174 | 41.5 | 20 |
| 2.154 | 41.9 | 28 |
| 2.087 | 43.4 | 21 |
| 2.035 | 44.5 | 20 |

Crystal structure
abc: 6.2221 6.9094 7.0095
angles: 90.00 97.31 90.00
Positions (direct):
Pm  0.0000  0.0000  0.0000
Pm  0.0000  0.5000  0.5000
Te  0.5000  0.0000  0.5000
Te  0.5000  0.5000  0.0000
S  0.1405  0.1541  0.3657
S  0.1405  0.3459  0.8657
S  0.2967  0.7212  0.2554
S  0.2967  0.7788  0.7554
S  0.7033  0.2212  0.2446
S  0.7033  0.2788  0.7446
S  0.8595  0.6541  0.1343
S  0.8595  0.8459  0.6343

(2)
For Li3Zn2Cd7, a DFT-relaxed cell (GGA-PBE, Alexandria) gives the theoretical X-ray diffraction stick pattern in this record (Cu Kα (λ = 1.5418 Å)).

Main lines, sorted by position (10° ≤ 2θ ≤ 90°):
| d/Å | two_theta | I (rel.) |
| --- | --- | --- |
| 4.787 | 18.5 | 45 |
| 4.216 | 21.1 | 92 |
| 3.162 | 28.2 | 78 |
| 2.584 | 34.7 | 54 |
| 2.442 | 36.8 | 47 |
| 2.431 | 37.0 | 100 |
| 2.419 | 37.2 | 49 |
| 2.328 | 38.7 | 79 |

Crystal structure
abc: 5.1331 5.2281 9.9100
angles: 96.07 96.97 108.99
Positions (direct):
Li  0.0000  0.0000  0.0000
Li  0.0847  0.0734  0.3496
Li  0.9153  0.9266  0.6504
Zn  0.4859  0.1505  0.6063
Zn  0.5141  0.8495  0.3937
Cd  0.0686  0.5404  0.1747
Cd  0.2622  0.5473  0.5917
Cd  0.4508  0.9512  0.8475
Cd  0.5000  0.5000  0.0000
Cd  0.5492  0.0488  0.1525
Cd  0.7378  0.4527  0.4083
Cd  0.9314  0.4596  0.8253

(3)
For Ba2CdSbP, a DFT-relaxed cell (GGA-PBE, Alexandria) gives the theoretical X-ray diffraction stick pattern in this record (Cu Kα (λ = 1.5418 Å)).

Main lines, sorted by position (10° ≤ 2θ ≤ 90°):
| d/Å | two_theta | I (rel.) |
| --- | --- | --- |
| 3.566 | 25.0 | 49 |
| 3.363 | 26.5 | 61 |
| 3.343 | 26.7 | 100 |
| 3.014 | 29.6 | 34 |
| 2.708 | 33.1 | 53 |
| 2.493 | 36.0 | 37 |
| 2.366 | 38.0 | 50 |
| 1.983 | 45.8 | 35 |

Crystal structure
abc: 8.1586 4.7329 9.9735
angles: 90.00 106.62 90.00
Positions (direct):
Ba  0.1768  0.2500  0.3911
Ba  0.2235  0.2500  0.9684
Ba  0.7765  0.7500  0.0316
Ba  0.8232  0.7500  0.6089
Cd  0.4855  0.7500  0.2674
Cd  0.5145  0.2500  0.7326
Sb  0.3071  0.7500  0.6946
Sb  0.6929  0.2500  0.3054
P  0.1663  0.7500  0.1739
P  0.8337  0.2500  0.8261

(4)
For LiCl4, a DFT-relaxed cell (GGA-PBE, Alexandria) gives the theoretical X-ray diffraction stick pattern in this record (Cu Kα (λ = 1.5418 Å)).

Main lines, sorted by position (10° ≤ 2θ ≤ 90°):
| d/Å | two_theta | I (rel.) |
| --- | --- | --- |
| 4.133 | 21.5 | 100 |
| 2.922 | 30.6 | 35 |
| 2.419 | 37.2 | 9 |
| 2.088 | 43.3 | 11 |
| 2.066 | 43.8 | 13 |
| 1.868 | 48.7 | 9 |
| 1.859 | 49.0 | 9 |
| 1.848 | 49.3 | 16 |

Crystal structure
abc: 9.5486 8.2646 4.8390
angles: 90.00 120.03 90.00
Positions (direct):
Li  0.0000  0.0000  0.0000
Li  0.5000  0.5000  0.0000
Cl  0.2494  0.0000  0.5006
Cl  0.2505  0.0000  0.9956
Cl  0.2495  0.5000  0.0044
Cl  0.2506  0.5000  0.4994
Cl  0.7494  0.5000  0.5006
Cl  0.7495  0.0000  0.0044
Cl  0.7505  0.5000  0.9956
Cl  0.7506  0.0000  0.4994

(5)
For La3Cd5, a DFT-relaxed cell (GGA-PBE, Alexandria) gives the theoretical X-ray diffraction stick pattern in this record (Cu Kα (λ = 1.5418 Å)).

Main lines, sorted by position (10° ≤ 2θ ≤ 90°):
| d/Å | two_theta | I (rel.) |
| --- | --- | --- |
| 3.107 | 28.7 | 49 |
| 2.852 | 31.4 | 100 |
| 2.800 | 32.0 | 62 |
| 2.782 | 32.2 | 45 |
| 2.719 | 32.9 | 89 |
| 2.449 | 36.7 | 75 |
| 2.285 | 39.4 | 86 |
| 1.435 | 65.0 | 45 |

Crystal structure
abc: 5.6177 10.0230 10.0230
angles: 56.37 90.00 90.00
Positions (direct):
La  0.2500  0.0854  0.9146
La  0.2500  0.4881  0.1288
La  0.2500  0.8714  0.5118
La  0.7500  0.1288  0.4881
La  0.7500  0.5118  0.8714
La  0.7500  0.9146  0.0854
Cd  0.0000  0.1656  0.1656
Cd  0.0000  0.8340  0.8340
Cd  0.2500  0.3015  0.5179
Cd  0.2500  0.4821  0.6970
Cd  0.2500  0.7119  0.2878
Cd  0.5000  0.1656  0.1656
Cd  0.5000  0.8340  0.8340
Cd  0.7500  0.2878  0.7119
Cd  0.7500  0.5179  0.3015
Cd  0.7500  0.6970  0.4821

(6)
For NdCo10Mo2, a DFT-relaxed cell (GGA-PBE, Alexandria) gives the theoretical X-ray diffraction stick pattern in this record (Cu Kα (λ = 1.5418 Å)).

Main lines, sorted by position (10° ≤ 2θ ≤ 90°):
| d/Å | two_theta | I (rel.) |
| --- | --- | --- |
| 2.424 | 37.1 | 60 |
| 2.346 | 38.4 | 20 |
| 2.126 | 42.5 | 21 |
| 2.120 | 42.6 | 31 |
| 2.105 | 43.0 | 100 |
| 2.053 | 44.1 | 69 |
| 1.848 | 49.3 | 26 |
| 1.303 | 72.6 | 20 |

Crystal structure
abc: 6.4473 6.4473 6.4473
angles: 137.33 97.74 97.47
Positions (direct):
Nd  0.0000  0.0000  0.0000
Co  0.0000  0.0000  0.5000
Co  0.0000  0.5000  0.0000
Co  0.2151  0.5000  0.7151
Co  0.2248  0.7248  0.5000
Co  0.3603  0.0000  0.3603
Co  0.5000  0.0000  0.0000
Co  0.5000  0.5000  0.5000
Co  0.6397  0.0000  0.6397
Co  0.7752  0.2752  0.5000
Co  0.7849  0.5000  0.2849
Mo  0.3592  0.3592  0.0000
Mo  0.6408  0.6408  0.0000

(7)
For MgSi2, a DFT-relaxed cell (GGA-PBE, Alexandria) gives the theoretical X-ray diffraction stick pattern in this record (Cu Kα (λ = 1.5418 Å)).

Main lines, sorted by position (10° ≤ 2θ ≤ 90°):
| d/Å | two_theta | I (rel.) |
| --- | --- | --- |
| 4.470 | 19.9 | 18 |
| 2.729 | 32.8 | 39 |
| 2.651 | 33.8 | 34 |
| 2.627 | 34.1 | 100 |
| 2.235 | 40.4 | 16 |
| 1.934 | 47.0 | 52 |
| 1.865 | 48.8 | 34 |
| 1.853 | 49.2 | 20 |

Crystal structure
abc: 6.7875 3.7297 8.9424
angles: 90.00 91.14 90.00
Positions (direct):
Mg  0.0000  0.0000  0.0000
Mg  0.0732  0.0000  0.4668
Mg  0.4235  0.5000  0.4900
Mg  0.5328  0.5000  0.0199
Si  0.1641  0.5000  0.7052
Si  0.1654  0.5000  0.2045
Si  0.3568  0.0000  0.7967
Si  0.3812  0.0000  0.2448
Si  0.6746  0.0000  0.6691
Si  0.6897  0.0000  0.3952
Si  0.8187  0.5000  0.2588
Si  0.8310  0.5000  0.7880

(8)
For Cs6KAuF, a DFT-relaxed cell (GGA-PBE, Alexandria) gives the theoretical X-ray diffraction stick pattern in this record (Cu Kα (λ = 1.5418 Å)).

Main lines, sorted by position (10° ≤ 2θ ≤ 90°):
| d/Å | two_theta | I (rel.) |
| --- | --- | --- |
| 7.957 | 11.1 | 36 |
| 6.007 | 14.7 | 41 |
| 4.106 | 21.6 | 100 |
| 3.974 | 22.4 | 37 |
| 3.243 | 27.5 | 69 |
| 2.857 | 31.3 | 56 |
| 2.544 | 35.3 | 39 |
| 2.145 | 42.1 | 38 |

Crystal structure
abc: 9.1893 9.1893 9.1591
angles: 90.02 90.02 120.03
Positions (direct):
Cs  0.1074  0.1074  0.2936
Cs  0.1071  0.4543  0.7062
Cs  0.5457  0.1075  0.7066
Cs  0.5457  0.8929  0.2938
Cs  0.8925  0.4543  0.2934
Cs  0.8926  0.8926  0.7064
K  0.5149  0.4851  0.0000
Au  0.1818  0.8182  0.5000
F  0.8485  0.1515  0.5000

(9)
For Li2Tl3Pd7, a DFT-relaxed cell (GGA-PBE, Alexandria) gives the theoretical X-ray diffraction stick pattern in this record (Cu Kα (λ = 1.5418 Å)).

Main lines, sorted by position (10° ≤ 2θ ≤ 90°):
| d/Å | two_theta | I (rel.) |
| --- | --- | --- |
| 3.670 | 24.3 | 80 |
| 2.344 | 38.4 | 100 |
| 2.333 | 38.6 | 99 |
| 2.093 | 43.2 | 72 |
| 1.907 | 47.7 | 27 |
| 1.410 | 66.3 | 40 |
| 1.253 | 75.9 | 27 |
| 1.248 | 76.3 | 27 |

Crystal structure
abc: 4.8214 4.8214 9.6934
angles: 108.11 108.11 75.42
Positions (direct):
Li  0.1675  0.1675  0.3349
Li  0.8325  0.8325  0.6651
Tl  0.0000  0.0000  0.0000
Tl  0.3345  0.3345  0.6683
Tl  0.6655  0.6655  0.3317
Pd  0.0846  0.5852  0.1701
Pd  0.2499  0.7501  0.5000
Pd  0.4148  0.9154  0.8299
Pd  0.5000  0.5000  0.0000
Pd  0.5852  0.0846  0.1701
Pd  0.7501  0.2499  0.5000
Pd  0.9154  0.4148  0.8299

(10)
For Nd3Rh, a DFT-relaxed cell (GGA-PBE, Alexandria) gives the theoretical X-ray diffraction stick pattern in this record (Cu Kα (λ = 1.5418 Å)).

Main lines, sorted by position (10° ≤ 2θ ≤ 90°):
| d/Å | two_theta | I (rel.) |
| --- | --- | --- |
| 3.032 | 29.5 | 80 |
| 2.999 | 29.8 | 32 |
| 2.961 | 30.2 | 79 |
| 2.682 | 33.4 | 100 |
| 2.655 | 33.8 | 58 |
| 2.592 | 34.6 | 28 |
| 2.466 | 36.4 | 97 |
| 1.737 | 52.7 | 42 |

Crystal structure
abc: 11.9942 11.9942 6.4925
angles: 90.00 90.00 90.00
Positions (direct):
Nd  0.0355  0.9077  0.1996
Nd  0.0923  0.5355  0.6996
Nd  0.1148  0.8293  0.6950
Nd  0.1200  0.3099  0.0182
Nd  0.1707  0.6148  0.1950
Nd  0.1901  0.1200  0.4818
Nd  0.3099  0.3800  0.4818
Nd  0.3293  0.8852  0.1950
Nd  0.3800  0.1901  0.0182
Nd  0.3852  0.6707  0.6950
Nd  0.4077  0.9645  0.6996
Nd  0.4645  0.5923  0.1996
Nd  0.5355  0.4077  0.8004
Nd  0.5923  0.0355  0.3004
Nd  0.6148  0.3293  0.3050
Nd  0.6200  0.8099  0.9818
Nd  0.6707  0.1148  0.8050
Nd  0.6901  0.6200  0.5182
Nd  0.8099  0.8800  0.5182
Nd  0.8293  0.3852  0.8050
Nd  0.8800  0.6901  0.9818
Nd  0.8852  0.1707  0.3050
Nd  0.9077  0.4645  0.3004
Nd  0.9645  0.0923  0.8004
Rh  0.0654  0.3226  0.4970
Rh  0.1774  0.0654  0.0030
Rh  0.3226  0.4346  0.0030
Rh  0.4346  0.1774  0.4970
Rh  0.5654  0.8226  0.5030
Rh  0.6774  0.5654  0.9970
Rh  0.8226  0.9346  0.9970
Rh  0.9346  0.6774  0.5030

Which formula does entry 6 have?
NdCo10Mo2

Copy entry 3 word for word.
For Ba2CdSbP, a DFT-relaxed cell (GGA-PBE, Alexandria) gives the theoretical X-ray diffraction stick pattern in this record (Cu Kα (λ = 1.5418 Å)).

Main lines, sorted by position (10° ≤ 2θ ≤ 90°):
| d/Å | two_theta | I (rel.) |
| --- | --- | --- |
| 3.566 | 25.0 | 49 |
| 3.363 | 26.5 | 61 |
| 3.343 | 26.7 | 100 |
| 3.014 | 29.6 | 34 |
| 2.708 | 33.1 | 53 |
| 2.493 | 36.0 | 37 |
| 2.366 | 38.0 | 50 |
| 1.983 | 45.8 | 35 |

Crystal structure
abc: 8.1586 4.7329 9.9735
angles: 90.00 106.62 90.00
Positions (direct):
Ba  0.1768  0.2500  0.3911
Ba  0.2235  0.2500  0.9684
Ba  0.7765  0.7500  0.0316
Ba  0.8232  0.7500  0.6089
Cd  0.4855  0.7500  0.2674
Cd  0.5145  0.2500  0.7326
Sb  0.3071  0.7500  0.6946
Sb  0.6929  0.2500  0.3054
P  0.1663  0.7500  0.1739
P  0.8337  0.2500  0.8261